# YPa2CoN5
Computed X-ray powder pattern, Cu Kα (λ = 1.5418 Å). Input: a GGA-PBE-relaxed structure.
Intensities are scaled so that the largest is 100.

Structural model:
Lattice parameters (Å, degrees): 3.358 13.443 10.136 90.00 90.00 90.00
Space group Cmc2_1 (No. 36)
Inequivalent atoms, fractional coordinates:
Y (0.000, 0.197, 0.000) x4
Pa (0.000, 0.105, 0.683) x4
Pa (0.000, 0.137, 0.300) x4
Co (0.000, 0.483, 0.458) x4
N (0.000, 0.039, 0.070) x4
N (0.000, 0.282, 0.680) x4
N (0.000, 0.340, 0.350) x4
N (0.000, 0.371, 0.997) x4
N (0.000, 0.481, 0.778) x4

Most intense lines, 2θ = 10–90°, sorted by position:
- (0 0 2), 5.068 Å, 2θ = 17.50°, intensity 33
- (0 4 0), 3.361 Å, 2θ = 26.52°, intensity 37
- (1 1 0), 3.258 Å, 2θ = 27.38°, intensity 48
- (0 2 3), 3.019 Å, 2θ = 29.59°, intensity 100
- (0 4 2), 2.801 Å, 2θ = 31.95°, intensity 56
- (1 1 2), 2.740 Å, 2θ = 32.68°, intensity 59
- (1 3 0), 2.687 Å, 2θ = 33.34°, intensity 59
- (1 1 3), 2.345 Å, 2θ = 38.38°, intensity 80
- (1 5 0), 2.101 Å, 2θ = 43.05°, intensity 38
- (0 2 5), 1.940 Å, 2θ = 46.83°, intensity 52
- (2 0 0), 1.679 Å, 2θ = 54.66°, intensity 31
- (1 3 5), 1.618 Å, 2θ = 56.92°, intensity 30

---

# Rb12HgAu7
Computed X-ray powder pattern, Cu Kα (λ = 1.5418 Å). Input: a GGA-PBE-relaxed structure.
Intensities are scaled so that the largest is 100.

Structural model:
Lattice parameters (Å, degrees): 15.3474 15.3474 14.4398 90.00 90.00 120.00
Space group R-3 (No. 148, hexagonal axes)
Inequivalent atoms, fractional coordinates:
Rb (0.0319, 0.8225, 0.1455) x18
Rb (0.0514, 0.8314, 0.6230) x18
Hg (0.0000, 0.0000, 0.5000) x3
Au (0.0000, 0.0000, 0.0000) x3
Au (0.0545, 0.5947, 0.0536) x18

Most intense lines, 2θ = 10–90°, sorted by position:
- (0 2 1), 6.037 Å, 2θ = 14.67°, intensity 73
- (2 0 2), 4.890 Å, 2θ = 18.14°, intensity 37
- (2 -1 3), 4.078 Å, 2θ = 21.80°, intensity 24
- (4 -3 1), 3.572 Å, 2θ = 24.93°, intensity 34
- (3 1 2), 3.283 Å, 2θ = 27.16°, intensity 21
- (5 -2 1), 2.983 Å, 2θ = 29.95°, intensity 21
- (3 -1 4), 2.932 Å, 2θ = 30.49°, intensity 85
- (4 1 0), 2.900 Å, 2θ = 30.83°, intensity 100
- (2 3 2), 2.809 Å, 2θ = 31.86°, intensity 30
- (1 3 4), 2.579 Å, 2θ = 34.78°, intensity 26
- (1 4 3), 2.484 Å, 2θ = 36.16°, intensity 22
- (7 -4 2), 2.091 Å, 2θ = 43.26°, intensity 21